Zn2SiHO5: calculated powder diffractogram (a wavelength of 1.5418 Å), based on DFT lattice parameters and positions (PBE).
No peak broadening, texture or thermal motion is included.

Top 6 peaks for 15 to 90 degrees two-theta, by intensity:
28.47 deg, intensity 100, hkl 2 1 1; 26.89 deg, intensity 56, hkl 1 3 0; 34.66 deg, intensity 52, hkl 0 0 2; 16.40 deg, intensity 44, hkl 0 2 0; 37.09 deg, intensity 43, hkl 2 3 1; 30.22 deg, intensity 42, hkl 0 3 1

Cell and atoms:
Lattice parameters (Å, degrees): 8.461 10.812 5.177 90.00 90.00 90.00
Space group Pnn2 (No. 34)
Unique sites:
1 Zn 0.172 0.175 0.000 [4 per cell]
2 Zn 0.237 0.855 0.003 [4 per cell]
3 Si 0.026 0.855 0.511 [4 per cell]
4 H 0.115 0.535 0.678 [4 per cell]
5 O 0.000 0.000 0.599 [2 per cell]
6 O 0.000 0.500 0.010 [2 per cell]
7 O 0.031 0.836 0.197 [4 per cell]
8 O 0.122 0.223 0.640 [4 per cell]
9 O 0.195 0.812 0.639 [4 per cell]
10 O 0.199 0.526 0.547 [4 per cell]

=====

SmHO2: calculated powder diffractogram (a wavelength of 1.5418 Å), based on DFT lattice parameters and positions (PBE).
No peak broadening, texture or thermal motion is included.

Top 6 peaks for 15 to 90 degrees two-theta, by intensity:
28.05 deg, intensity 100, hkl 0 1 1; 32.08 deg, intensity 55, hkl 1 1 -1; 49.98 deg, intensity 51, hkl 1 1 2; 30.31 deg, intensity 49, hkl 1 0 1; 21.56 deg, intensity 43, hkl 1 0 -1; 38.89 deg, intensity 35, hkl 0 1 2

Cell and atoms:
Lattice parameters (Å, degrees): 4.430 3.791 6.223 90.00 109.98 90.00
Space group P2_1/m (No. 11)
Unique sites:
1 Sm 0.161 0.250 0.310 [2 per cell]
2 H 0.480 0.750 0.103 [2 per cell]
3 O 0.249 0.750 0.069 [2 per cell]
4 O 0.266 0.750 0.548 [2 per cell]